Li6MnO2F4: simulated powder diffraction line list (Cu Kα (λ = 1.5418 Å)), based on a DFT-relaxed cell (PBE+U, Alexandria).
Kinematic intensities with the Lorentz-polarization factor, no thermal factor.

a b c (Å): 5.5845 7.0305 8.3824
angles (deg): 89.99 89.94 71.35
Fractional positions:
Li  0.0106  0.0038  0.1550
Li  0.0107  0.5038  0.3449
Li  0.3144  0.6722  0.7988
Li  0.3145  0.1723  0.7009
Li  0.4044  0.1758  0.3395
Li  0.4046  0.6758  0.1602
Li  0.5954  0.3242  0.8398
Li  0.5956  0.8242  0.6605
Li  0.6855  0.8277  0.2991
Li  0.6856  0.3278  0.2012
Li  0.9893  0.4962  0.6551
Li  0.9894  0.9962  0.8450
Mn  0.0000  0.0000  0.5000
Mn  0.0000  0.5000  0.0000
O  0.2379  0.4229  0.8169
O  0.2381  0.9228  0.6828
O  0.7619  0.0772  0.3172
O  0.7621  0.5771  0.1831
F  0.1379  0.2911  0.4954
F  0.1379  0.7910  0.0045
F  0.3183  0.9314  0.2814
F  0.3186  0.4313  0.2182
F  0.6814  0.5687  0.7818
F  0.6817  0.0686  0.7186
F  0.8621  0.2090  0.9955
F  0.8621  0.7089  0.5046

Peak list (8 most intense, 10° ≤ 2θ ≤ 80°, by intensity)
2θ/deg	d_spacing	intensity
17.00	5.215	100.0
27.14	3.285	75.5
26.71	3.338	57.5
16.76	5.291	54.7
42.12	2.145	40.5
40.16	2.245	33.3
26.84	3.322	32.7
40.80	2.211	29.4